Entry 1:
This entry pairs a crystal structure of AgP2Cl with its theoretical powder XRD pattern. Radiation: Cu Kα X-rays. Structure: a DFT-relaxed cell (PBE, Alexandria).
Kinematic intensities with the Lorentz-polarization factor, no thermal factor.

Top 10 peaks for 2θ = 15–90°, most intense first:
d/Å, Position (°2θ), I (rel.), hkl
4.638, 19.1, 100, 0 0 2
4.427, 20.1, 98, 1 1 1
2.862, 31.3, 65, 2 0 2
2.982, 30.0, 44, 1 2 1
2.635, 34.0, 44, 1 1 3
2.206, 40.9, 35, 1 2 3
2.224, 40.6, 34, 3 1 1
1.955, 46.4, 34, 2 0 4
1.947, 46.6, 32, 3 2 1
3.637, 24.5, 27, 2 0 0

Crystal structure
```
data_AgP2Cl
_space_group_name_H-M_alt 'P c c a'
_space_group_IT_number 54
_cell_length_a 7.274
_cell_length_b 6.986
_cell_length_c 9.275
_cell_angle_alpha 90.00
_cell_angle_beta 90.00
_cell_angle_gamma 90.00
loop_
_space_group_symop_operation_xyz
'x,y,z'
'-x,-y,-z'
'-x+1/2,-y,z'
'x+1/2,y,-z'
'x+1/2,-y,-z+1/2'
'-x+1/2,y,z+1/2'
'-x,y,-z+1/2'
'x,-y,z+1/2'
loop_
_atom_site_label
_atom_site_type_symbol
_atom_site_fract_x
_atom_site_fract_y
_atom_site_fract_z
_atom_site_occupancy
Ag1 Ag 0.000 0.126 0.250 1
P1 P 0.194 0.132 0.618 1
Cl1 Cl 0.000 0.468 0.250 1
```


Entry 2:
This entry pairs a crystal structure of Nd2Pt17 with its theoretical powder XRD pattern. Radiation: Cu Kα X-rays. Structure: a DFT-relaxed cell (PBE, Alexandria).
Kinematic intensities with the Lorentz-polarization factor, no thermal factor.

Top 10 peaks for 2θ = 15–90°, most intense first:
d/Å, Position (°2θ), I (rel.), hkl
2.065, 43.8, 100, 2 2 3
2.305, 39.1, 97, 0 3 3
2.329, 38.7, 56, 2 2 0
2.236, 40.3, 54, 0 0 6
2.689, 33.3, 32, 3 0 0
1.344, 70.0, 30, 6 0 0
2.016, 45.0, 27, 1 1 6
1.304, 72.5, 26, 0 3 9
1.152, 84.0, 22, 6 0 6
4.657, 19.1, 20, 1 1 0

Crystal structure
```
data_Nd2Pt17
_space_group_name_H-M_alt 'R -3 m'
_space_group_IT_number 166
_space_group_name_Hall '-R 3 2"'
_cell_length_a 9.3145
_cell_length_b 9.3145
_cell_length_c 13.4186
_cell_angle_alpha 90.00
_cell_angle_beta 90.00
_cell_angle_gamma 120.00
loop_
_atom_site_label
_atom_site_type_symbol
_atom_site_fract_x
_atom_site_fract_y
_atom_site_fract_z
_atom_site_occupancy
Nd1 Nd 0.0000 0.0000 0.1630 1
Pt1 Pt 0.0000 0.0000 0.3939 1
Pt2 Pt 0.0000 0.3078 0.5000 1
Pt3 Pt 0.0000 0.5000 0.0000 1
Pt4 Pt 0.0053 0.5027 0.6554 1
```


Entry 3:
This entry pairs a crystal structure of Nd4Ge2N with its theoretical powder XRD pattern. Radiation: Cu Kα X-rays. Structure: a DFT-relaxed cell (PBE, Alexandria).
Kinematic intensities with the Lorentz-polarization factor, no thermal factor.

Top 10 peaks for 2θ = 15–90°, most intense first:
d/Å, Position (°2θ), I (rel.), hkl
3.075, 29.0, 100, 2 2 0
2.439, 36.8, 96, 2 0 2
3.222, 27.7, 77, 0 2 2
2.526, 35.5, 60, 2 4 0
2.605, 34.4, 56, 0 4 2
2.556, 35.1, 41, 0 6 0
1.765, 51.8, 39, 2 6 2
2.597, 34.5, 36, 1 5 1
3.374, 26.4, 31, 0 4 1
1.728, 53.0, 30, 2 4 3

Crystal structure
```
data_Nd4Ge2N
_space_group_name_H-M_alt 'C m c e'
_space_group_IT_number 64
_space_group_name_Hall '-C 2ac 2'
_cell_length_a 6.714
_cell_length_b 15.338
_cell_length_c 7.102
_cell_angle_alpha 90.00
_cell_angle_beta 90.00
_cell_angle_gamma 90.00
loop_
_atom_site_label
_atom_site_type_symbol
_atom_site_fract_x
_atom_site_fract_y
_atom_site_fract_z
_atom_site_occupancy
Nd1 Nd 0.000 0.173 0.060 1
Nd2 Nd 0.250 0.019 0.750 1
Ge1 Ge 0.000 0.135 0.473 1
N1 N 0.000 0.000 0.000 1
```


Entry 4:
This entry pairs a crystal structure of Sm4Tl2Ir with its theoretical powder XRD pattern. Radiation: Cu Kα X-rays. Structure: a DFT-relaxed cell (PBE, Alexandria).
Kinematic intensities with the Lorentz-polarization factor, no thermal factor.

Top 10 peaks for 2θ = 15–90°, most intense first:
d/Å, Position (°2θ), I (rel.), hkl
2.877, 31.1, 100, 1 1 -2
2.671, 33.6, 74, 2 0 1
2.301, 39.1, 62, 0 1 3
2.416, 37.2, 61, 2 1 -2
3.285, 27.1, 59, 1 1 -1
3.086, 28.9, 52, 1 0 2
2.604, 34.4, 52, 2 0 -3
2.442, 36.8, 51, 2 1 0
3.534, 25.2, 50, 0 1 1
1.940, 46.8, 36, 0 2 0

Crystal structure
```
data_Sm4Tl2Ir
_space_group_name_H-M_alt 'P 1 2/m 1'
_space_group_IT_number 10
_cell_length_a 6.689
_cell_length_b 3.879
_cell_length_c 9.127
_cell_angle_alpha 90.00
_cell_angle_beta 110.00
_cell_angle_gamma 90.00
loop_
_space_group_symop_operation_xyz
'x,y,z'
'-x,-y,-z'
'-x,y,-z'
'x,-y,z'
loop_
_atom_site_label
_atom_site_type_symbol
_atom_site_fract_x
_atom_site_fract_y
_atom_site_fract_z
_atom_site_occupancy
Sm1 Sm 0.118 0.000 0.256 1
Sm2 Sm 0.349 0.500 0.657 1
Tl1 Tl 0.258 0.500 0.999 1
Ir1 Ir 0.500 0.000 0.500 1
```


Entry 5:
This entry pairs a crystal structure of KNa2H6Pt with its theoretical powder XRD pattern. Radiation: Cu Kα X-rays. Structure: a DFT-relaxed cell (PBE, Alexandria).
Kinematic intensities with the Lorentz-polarization factor, no thermal factor.

Top 10 peaks for 2θ = 15–90°, most intense first:
d/Å, Position (°2θ), I (rel.), hkl
4.428, 20.1, 100, 1 0 0
2.763, 32.4, 75, 0 1 2
3.753, 23.7, 55, 0 1 1
2.557, 35.1, 43, 1 1 0
2.072, 43.7, 32, 1 1 2
2.404, 37.4, 31, 1 1 1
1.877, 48.5, 25, 2 0 2
1.513, 61.3, 24, 1 2 2
3.537, 25.2, 23, 0 0 2
1.642, 56.0, 18, 1 0 4

Crystal structure
```
data_KNa2H6Pt
_space_group_name_H-M_alt 'P -3 m 1'
_space_group_IT_number 164
_space_group_name_Hall '-P 3 2"'
_cell_length_a 5.1135
_cell_length_b 5.1135
_cell_length_c 7.0731
_cell_angle_alpha 90.00
_cell_angle_beta 90.00
_cell_angle_gamma 120.00
loop_
_atom_site_label
_atom_site_type_symbol
_atom_site_fract_x
_atom_site_fract_y
_atom_site_fract_z
_atom_site_occupancy
K1 K 0.0000 0.0000 0.0000 1
Na1 Na 0.3333 0.6667 0.6261 1
H1 H 0.1512 0.3023 0.3598 1
Pt1 Pt 0.0000 0.0000 0.5000 1
```


Entry 6:
This entry pairs a crystal structure of Na4B5C3 with its theoretical powder XRD pattern. Radiation: Cu Kα X-rays. Structure: a DFT-relaxed cell (PBE, Alexandria).
Kinematic intensities with the Lorentz-polarization factor, no thermal factor.

Top 10 peaks for 2θ = 15–90°, most intense first:
d/Å, Position (°2θ), I (rel.), hkl
2.140, 42.2, 100, 2 2 1
2.158, 41.9, 48, 0 2 2
2.129, 42.5, 38, 0 4 0
1.440, 64.8, 17, 2 0 3
1.193, 80.5, 17, 2 4 3
2.475, 36.3, 17, 2 0 1
1.231, 77.5, 13, 2 6 1
1.188, 80.9, 10, 4 2 2
2.503, 35.9, 10, 0 0 2
1.614, 57.1, 9, 2 4 1

Crystal structure
```
data_Na4B5C3
_space_group_name_H-M_alt 'P m m n'
_space_group_IT_number 59
_cell_length_a 5.695
_cell_length_b 8.514
_cell_length_c 5.006
_cell_angle_alpha 90.00
_cell_angle_beta 90.00
_cell_angle_gamma 90.00
loop_
_space_group_symop_operation_xyz
'x,y,z'
'-x,-y,-z'
'-x+1/2,-y+1/2,z'
'x+1/2,y+1/2,-z'
'x+1/2,-y,-z'
'-x+1/2,y,z'
'-x,y+1/2,-z'
'x,-y+1/2,z'
loop_
_atom_site_label
_atom_site_type_symbol
_atom_site_fract_x
_atom_site_fract_y
_atom_site_fract_z
_atom_site_occupancy
Na1 Na 0.000 0.000 0.000 1
Na2 Na 0.250 0.003 0.498 1
B1 B 0.012 0.750 0.346 1
B2 B 0.250 0.250 0.180 1
B3 B 0.250 0.250 0.841 1
B4 B 0.250 0.750 0.837 1
C1 C 0.005 0.750 0.664 1
C2 C 0.250 0.750 0.164 1
```


Entry 7:
This entry pairs a crystal structure of Ce5ThOs3 with its theoretical powder XRD pattern. Radiation: Cu Kα X-rays. Structure: a DFT-relaxed cell (PBE, Alexandria).
Kinematic intensities with the Lorentz-polarization factor, no thermal factor.

Top 10 peaks for 2θ = 15–90°, most intense first:
d/Å, Position (°2θ), I (rel.), hkl
1.939, 46.9, 100, 5 3 -2
2.414, 37.2, 76, 5 1 -2
4.603, 19.3, 75, 0 2 0
3.111, 28.7, 74, 2 2 1
3.128, 28.5, 72, 0 0 3
2.398, 37.5, 59, 1 3 2
4.660, 19.0, 49, 2 0 -2
2.110, 42.9, 40, 4 0 2
2.301, 39.1, 32, 0 4 0
2.330, 38.6, 29, 4 0 -4

Crystal structure
```
data_Ce5ThOs3
_space_group_name_H-M_alt 'C 1 2/m 1'
_space_group_IT_number 12
_cell_length_a 12.578
_cell_length_b 9.205
_cell_length_c 10.229
_cell_angle_alpha 90.00
_cell_angle_beta 113.48
_cell_angle_gamma 90.00
loop_
_space_group_symop_operation_xyz
'x,y,z'
'-x,-y,-z'
'-x,y,-z'
'x,-y,z'
'x+1/2,y+1/2,z'
'-x+1/2,-y+1/2,-z'
'-x+1/2,y+1/2,-z'
'x+1/2,-y+1/2,z'
loop_
_atom_site_label
_atom_site_type_symbol
_atom_site_fract_x
_atom_site_fract_y
_atom_site_fract_z
_atom_site_occupancy
Ce1 Ce 0.000 0.196 0.000 1
Ce2 Ce 0.071 0.000 0.371 1
Ce3 Ce 0.165 0.303 0.669 1
Ce4 Ce 0.232 0.500 0.034 1
Th1 Th 0.105 0.500 0.300 1
Os1 Os 0.000 0.500 0.000 1
Os2 Os 0.000 0.500 0.500 1
Os3 Os 0.163 0.000 0.669 1
Os4 Os 0.168 0.000 0.166 1
```


Entry 8:
This entry pairs a crystal structure of LiNdMg2Tl4 with its theoretical powder XRD pattern. Radiation: Cu Kα X-rays. Structure: a DFT-relaxed cell (PBE, Alexandria).
Kinematic intensities with the Lorentz-polarization factor, no thermal factor.

Top 10 peaks for 2θ = 15–90°, most intense first:
d/Å, Position (°2θ), I (rel.), hkl
2.576, 34.8, 100, 1 1 0
2.645, 33.9, 94, 0 1 8
3.691, 24.1, 84, 1 0 4
1.500, 61.9, 34, 1 2 8
1.845, 49.4, 33, 2 0 8
2.112, 42.8, 19, 0 2 4
1.487, 62.5, 19, 3 0 0
1.633, 56.3, 18, 2 1 4
2.872, 31.1, 17, 1 0 7
1.158, 83.5, 15, 3 1 8

Crystal structure
```
data_LiNdMg2Tl4
_space_group_name_H-M_alt 'R -3 m'
_space_group_IT_number 166
_space_group_name_Hall '-R 3 2"'
_cell_length_a 5.1514
_cell_length_b 5.1514
_cell_length_c 26.2761
_cell_angle_alpha 90.00
_cell_angle_beta 90.00
_cell_angle_gamma 120.00
loop_
_atom_site_label
_atom_site_type_symbol
_atom_site_fract_x
_atom_site_fract_y
_atom_site_fract_z
_atom_site_occupancy
Li1 Li 0.0000 0.0000 0.0000 1
Nd1 Nd 0.0000 0.0000 0.5000 1
Mg1 Mg 0.0000 0.0000 0.2494 1
Tl1 Tl 0.0000 0.0000 0.1147 1
Tl2 Tl 0.0000 0.0000 0.3696 1
```


Entry 9:
This entry pairs a crystal structure of ZrBeZnRh with its theoretical powder XRD pattern. Radiation: Cu Kα X-rays. Structure: a DFT-relaxed cell (PBE, Alexandria).
Kinematic intensities with the Lorentz-polarization factor, no thermal factor.

Top 10 peaks for 2θ = 15–90°, most intense first:
d/Å, Position (°2θ), I (rel.), hkl
2.171, 41.6, 100, 2 2 0
1.253, 75.9, 32, 4 2 2
3.070, 29.1, 26, 2 0 0
1.535, 60.3, 16, 4 0 0
3.545, 25.1, 15, 1 1 1
1.373, 68.3, 9, 4 2 0
1.851, 49.2, 7, 3 1 1
1.772, 51.6, 7, 2 2 2
1.409, 66.4, 3, 3 3 1
1.182, 81.4, 2, 5 1 1

Crystal structure
```
data_ZrBeZnRh
_space_group_name_H-M_alt 'F -4 3 m'
_space_group_IT_number 216
_space_group_name_Hall 'F -4 2 3'
_cell_length_a 6.140
_cell_length_b 6.140
_cell_length_c 6.140
_cell_angle_alpha 90.00
_cell_angle_beta 90.00
_cell_angle_gamma 90.00
loop_
_atom_site_label
_atom_site_type_symbol
_atom_site_fract_x
_atom_site_fract_y
_atom_site_fract_z
_atom_site_occupancy
Zr1 Zr 0.000 0.000 0.000 1
Be1 Be 0.250 0.250 0.250 1
Zn1 Zn 0.250 0.250 0.750 1
Rh1 Rh 0.000 0.000 0.500 1
```


Entry 10:
This entry pairs a crystal structure of PmPrHoTm3 with its theoretical powder XRD pattern. Radiation: Cu Kα X-rays. Structure: a DFT-relaxed cell (PBE, Alexandria).
Kinematic intensities with the Lorentz-polarization factor, no thermal factor.

Top 10 peaks for 2θ = 15–90°, most intense first:
d/Å, Position (°2θ), I (rel.), hkl
2.908, 30.8, 100, 1 3 2
2.518, 35.7, 51, 2 0 0
1.518, 61.0, 43, 3 3 2
1.780, 51.3, 36, 2 0 4
1.155, 83.7, 18, 3 3 6
1.454, 64.1, 12, 2 6 4
1.127, 86.4, 11, 4 0 4
1.125, 86.5, 5, 2 12 0
1.260, 75.5, 4, 4 0 0
1.257, 75.6, 2, 0 12 0

Crystal structure
```
data_PmPrHoTm3
_space_group_name_H-M_alt 'C m c m'
_space_group_IT_number 63
_space_group_name_Hall '-C 2c 2'
_cell_length_a 5.038
_cell_length_b 15.089
_cell_length_c 10.079
_cell_angle_alpha 90.00
_cell_angle_beta 90.00
_cell_angle_gamma 90.00
loop_
_atom_site_label
_atom_site_type_symbol
_atom_site_fract_x
_atom_site_fract_y
_atom_site_fract_z
_atom_site_occupancy
Pm1 Pm 0.000 0.000 0.250 1
Pr1 Pr 0.000 0.500 0.000 1
Ho1 Ho 0.000 0.331 0.250 1
Tm1 Tm 0.000 0.169 0.000 1
Tm2 Tm 0.000 0.331 0.750 1
```


Entry 11:
This entry pairs a crystal structure of Ac5PuIn6 with its theoretical powder XRD pattern. Radiation: Cu Kα X-rays. Structure: a DFT-relaxed cell (PBE, Alexandria).
Kinematic intensities with the Lorentz-polarization factor, no thermal factor.

Top 10 peaks for 2θ = 15–90°, most intense first:
d/Å, Position (°2θ), I (rel.), hkl
2.918, 30.6, 100, 2 2 1
2.705, 33.1, 81, 4 2 -1
2.934, 30.5, 51, 2 0 -2
2.908, 30.7, 50, 6 0 0
1.597, 57.7, 30, 6 4 0
2.259, 39.9, 24, 4 0 2
3.826, 23.2, 21, 0 2 0
1.740, 52.6, 20, 0 2 3
1.728, 53.0, 20, 8 2 1
1.602, 57.5, 15, 2 4 -2

Crystal structure
```
data_Ac5PuIn6
_space_group_name_H-M_alt 'C 1 2/m 1'
_space_group_IT_number 12
_cell_length_a 17.712
_cell_length_b 7.645
_cell_length_c 5.950
_cell_angle_alpha 90.00
_cell_angle_beta 99.91
_cell_angle_gamma 90.00
loop_
_space_group_symop_operation_xyz
'x,y,z'
'-x,-y,-z'
'-x,y,-z'
'x,-y,z'
'x+1/2,y+1/2,z'
'-x+1/2,-y+1/2,-z'
'-x+1/2,y+1/2,-z'
'x+1/2,-y+1/2,z'
loop_
_atom_site_label
_atom_site_type_symbol
_atom_site_fract_x
_atom_site_fract_y
_atom_site_fract_z
_atom_site_occupancy
Ac1 Ac 0.000 0.000 0.000 1
Ac2 Ac 0.162 0.000 0.672 1
Ac3 Ac 0.176 0.500 0.702 1
Pu1 Pu 0.000 0.500 0.000 1
In1 In 0.000 0.282 0.500 1
In2 In 0.158 0.269 0.188 1
```


Entry 12:
This entry pairs a crystal structure of KPu2HgO7 with its theoretical powder XRD pattern. Radiation: Cu Kα X-rays. Structure: a DFT-relaxed cell (PBE, Alexandria).
Kinematic intensities with the Lorentz-polarization factor, no thermal factor.

Top 10 peaks for 2θ = 15–90°, most intense first:
d/Å, Position (°2θ), I (rel.), hkl
3.427, 26.0, 100, 1 0 2
3.968, 22.4, 64, 1 0 1
2.981, 30.0, 58, 1 1 0
3.924, 22.7, 48, 0 0 3
2.374, 37.9, 33, 1 1 3
1.795, 50.9, 33, 2 1 2
2.108, 42.9, 31, 2 0 0
1.857, 49.1, 26, 2 0 3
2.056, 44.1, 25, 1 0 5
4.215, 21.1, 22, 1 0 0

Crystal structure
```
data_KPu2HgO7
_space_group_name_H-M_alt 'P 4/m m m'
_space_group_IT_number 123
_space_group_name_Hall '-P 4 2'
_cell_length_a 4.215
_cell_length_b 4.215
_cell_length_c 11.773
_cell_angle_alpha 90.00
_cell_angle_beta 90.00
_cell_angle_gamma 90.00
loop_
_atom_site_label
_atom_site_type_symbol
_atom_site_fract_x
_atom_site_fract_y
_atom_site_fract_z
_atom_site_occupancy
K1 K 0.000 0.000 0.000 1
Pu1 Pu 0.500 0.500 0.179 1
Hg1 Hg 0.000 0.000 0.500 1
O1 O 0.000 0.500 0.168 1
O2 O 0.500 0.500 0.000 1
O3 O 0.500 0.500 0.334 1
```


Entry 13:
This entry pairs a crystal structure of La3Nd2Dy8 with its theoretical powder XRD pattern. Radiation: Cu Kα X-rays. Structure: a DFT-relaxed cell (PBE, Alexandria).
Kinematic intensities with the Lorentz-polarization factor, no thermal factor.

Top 10 peaks for 2θ = 15–90°, most intense first:
d/Å, Position (°2θ), I (rel.), hkl
2.948, 30.3, 100, 1 2 0
2.553, 35.1, 51, 1 0 3
1.539, 60.1, 29, 2 2 3
1.807, 50.5, 18, 0 3 2
1.804, 50.6, 18, 3 1 1
1.541, 60.0, 14, 0 1 5
1.473, 63.1, 9, 2 4 0
1.170, 82.4, 9, 5 0 2
1.143, 84.8, 8, 3 2 -7
1.141, 85.0, 8, 4 1 4

Crystal structure
```
data_La3Nd2Dy8
_space_group_name_H-M_alt 'P -1'
_space_group_IT_number 2
_cell_length_a 6.249
_cell_length_b 8.070
_cell_length_c 9.558
_cell_angle_alpha 114.87
_cell_angle_beta 90.10
_cell_angle_gamma 97.47
loop_
_space_group_symop_operation_xyz
'x,y,z'
'-x,-y,-z'
loop_
_atom_site_label
_atom_site_type_symbol
_atom_site_fract_x
_atom_site_fract_y
_atom_site_fract_z
_atom_site_occupancy
La1 La 0.000 0.000 0.000 1
La2 La 0.461 0.768 0.846 1
Nd1 Nd 0.383 0.306 0.539 1
Dy1 Dy 0.078 0.467 0.309 1
Dy2 Dy 0.152 0.924 0.613 1
Dy3 Dy 0.228 0.385 0.923 1
Dy4 Dy 0.309 0.844 0.233 1
```